Calculated powder XRD pattern of Tb4Tl5Zn2 for CuKα, from the PBE geometry in Alexandria.

Peak list (8 most intense, 2θ = 5–70°, most intense first)
| h k l | d_spacing | two_theta | Rel. int. |
| --- | --- | --- | --- |
| 1 1 2 | 2.735 | 32.74 | 100 |
| 2 1 0 | 2.727 | 32.85 | 94 |
| 1 1 -2 | 2.759 | 32.45 | 79 |
| 3 0 -2 | 2.382 | 37.76 | 53 |
| 1 0 3 | 2.952 | 30.27 | 50 |
| 3 0 2 | 2.336 | 38.55 | 40 |
| 0 2 0 | 1.840 | 49.55 | 37 |
| 3 0 0 | 2.707 | 33.09 | 35 |

Structure:
Cell: 8.124 3.679 9.592 Å, 90.00 91.27 90.00°
Space group P2/m (No. 10)
One atom of each set of equivalent atoms:
1 Tb 0.208 0.000 0.357 [2 per cell]
2 Tb 0.235 0.000 0.905 [2 per cell]
3 Tl 0.132 0.500 0.634 [2 per cell]
4 Tl 0.440 0.500 0.157 [2 per cell]
5 Tl 0.500 0.500 0.500 [1 per cell]
6 Zn 0.074 0.500 0.121 [2 per cell]